Structure and computed PXRD pattern of Sr2MoO4 (a cell relaxed with GGA+U; Cu Kα X-rays).
No peak broadening, texture or thermal motion is included.

Structure:
```
Sr2MoO4
1.0
-2.0110 2.0110 6.4941
2.0110 -2.0110 6.4941
2.0110 2.0110 -6.4941
Sr Mo O
2 1 4
direct
0.1501 0.1501 0.0000
0.8499 0.8499 0.0000
0.5000 0.5000 0.0000
0.0000 0.5000 0.5000
0.3356 0.3356 0.0000
0.5000 0.0000 0.5000
0.6644 0.6644 0.0000
```

Peak list (12 most intense, 2θ = 10–90°, sorted by position)
| d/Å | Rel. int. |
| --- | --- |
| 6.494 | 12.9 |
| 2.947 | 100.0 |
| 2.844 | 63.9 |
| 2.182 | 9.7 |
| 2.165 | 17.8 |
| 2.011 | 34.6 |
| 1.722 | 21.6 |
| 1.661 | 37.4 |
| 1.473 | 19.0 |
| 1.422 | 10.4 |
| 1.272 | 10.3 |
| 1.097 | 10.4 |